1.
Starting from the GGA-PBE geometry in Alexandria, the X-ray diffraction stick pattern of LaSc4Os was computed for Cu Ka.

Structure:
```
LaSc4Os
1.0
0.000 4.084 4.084
4.084 0.000 4.084
4.084 4.084 0.000
La Sc Os
1 4 1
Direct
0.000 0.000 0.000 La
0.377 0.377 0.377 Sc
0.377 0.377 0.869 Sc
0.377 0.869 0.377 Sc
0.869 0.377 0.377 Sc
0.750 0.750 0.750 Os
```

Largest 10 diffraction maxima, in order of rising 2θ, 5° ≤ 2θ ≤ 70°:
2θ (°), I_rel
18.82, 330
30.96, 791
36.48, 1000
38.16, 98
44.36, 32
48.58, 94
55.08, 315
58.73, 325
64.53, 221
67.88, 76

***

2.
Starting from the GGA-PBE geometry in Alexandria, the X-ray diffraction stick pattern of LaSm2Os was computed for Cu Ka.

Structure:
```
LaSm2Os
1.0
7.448 0.000 0.000
0.000 9.616 0.000
0.000 0.000 6.562
La Sm Os
4 8 4
Direct
0.050 0.250 0.140 La
0.450 0.750 0.640 La
0.550 0.250 0.360 La
0.950 0.750 0.860 La
0.172 0.067 0.669 Sm
0.172 0.433 0.669 Sm
0.328 0.567 0.169 Sm
0.328 0.933 0.169 Sm
0.672 0.067 0.831 Sm
0.672 0.433 0.831 Sm
0.828 0.567 0.331 Sm
0.828 0.933 0.331 Sm
0.119 0.750 0.454 Os
0.381 0.250 0.954 Os
0.619 0.750 0.046 Os
0.881 0.250 0.546 Os
```

Largest 10 diffraction maxima, in order of rising 2θ, 5° ≤ 2θ ≤ 70°:
2θ (°), I_rel
20.26, 225
30.36, 248
31.05, 390
31.21, 534
33.36, 1000
37.01, 314
37.72, 256
38.78, 223
47.26, 235
57.51, 223

***

3.
Starting from the GGA-PBE geometry in Alexandria, the X-ray diffraction stick pattern of LaTa2Os was computed for Cu Ka.

Structure:
```
LaTa2Os
1.0
3.156 0.000 0.000
0.000 3.156 0.000
0.000 0.000 8.373
La Ta Os
1 2 1
Direct
0.000 0.000 0.000 La
0.000 0.000 0.444 Ta
0.500 0.500 0.672 Ta
0.500 0.500 0.272 Os
```

Largest 10 diffraction maxima, in order of rising 2θ, 5° ≤ 2θ ≤ 70°:
2θ (°), I_rel
10.57, 328
32.07, 84
35.63, 1000
40.42, 466
41.89, 50
43.27, 281
52.50, 100
58.49, 159
60.66, 79
62.82, 95

***

4.
Starting from the GGA-PBE geometry in Alexandria, the X-ray diffraction stick pattern of LaTaVOs2 was computed for Cu Ka.

Structure:
```
LaTaVOs2
1.0
4.316 0.000 0.000
0.000 4.316 0.000
0.000 0.000 10.825
La Ta V Os
2 2 2 4
Direct
0.000 0.000 0.000 La
0.500 0.500 0.500 La
0.000 0.500 0.750 Ta
0.500 0.000 0.250 Ta
0.000 0.500 0.250 V
0.500 0.000 0.750 V
0.000 0.000 0.378 Os
0.000 0.000 0.622 Os
0.500 0.500 0.122 Os
0.500 0.500 0.878 Os
```

Largest 10 diffraction maxima, in order of rising 2θ, 5° ≤ 2θ ≤ 70°:
2θ (°), I_rel
22.17, 513
29.26, 309
32.34, 1000
33.71, 789
41.86, 821
44.76, 537
46.95, 430
53.86, 481
60.68, 275
64.70, 332

***

5.
Starting from the GGA-PBE geometry in Alexandria, the X-ray diffraction stick pattern of LaTeOs was computed for Cu Ka.

Structure:
```
LaTeOs
1.0
4.561 0.000 0.000
-2.281 3.950 0.000
0.000 0.000 4.117
La Te Os
1 1 1
Direct
0.000 0.000 0.000 La
0.667 0.333 0.500 Te
0.333 0.667 0.500 Os
```

Largest 10 diffraction maxima, in order of rising 2θ, 5° ≤ 2θ ≤ 70°:
2θ (°), I_rel
21.59, 144
22.51, 40
31.38, 1000
39.51, 608
43.99, 150
45.46, 124
49.96, 11
51.30, 253
60.60, 347
66.63, 230

***

6.
Starting from the GGA-PBE geometry in Alexandria, the X-ray diffraction stick pattern of La2ThOs was computed for Cu Ka.

Structure:
```
La2ThOs
1.0
7.367 0.000 0.000
0.000 10.096 0.000
0.000 0.000 6.617
La Th Os
8 4 4
Direct
0.172 0.068 0.174 La
0.172 0.432 0.174 La
0.328 0.568 0.674 La
0.328 0.932 0.674 La
0.672 0.068 0.326 La
0.672 0.432 0.326 La
0.828 0.568 0.826 La
0.828 0.932 0.826 La
0.051 0.250 0.669 Th
0.449 0.750 0.169 Th
0.551 0.250 0.831 Th
0.949 0.750 0.331 Th
0.129 0.750 0.967 Os
0.371 0.250 0.467 Os
0.629 0.750 0.533 Os
0.871 0.250 0.033 Os
```

Largest 10 diffraction maxima, in order of rising 2θ, 5° ≤ 2θ ≤ 70°:
2θ (°), I_rel
17.57, 593
20.07, 498
29.12, 642
29.78, 1000
30.03, 471
30.92, 913
32.22, 804
33.01, 841
37.61, 616
46.60, 631